# 1
Computed powder diffractogram of PmMn3 for Cu Kα (λ = 1.5418 Å), from a DFT-relaxed cell (GGA-PBE, Alexandria).
Intensities are scaled so that the largest is 100.

The 10 most intense peaks (2θ = 10–90°), by angle:
d_spacing	I_rel	index
3.472	38.2	1 0 1
3.029	15.5	1 1 0
2.623	24.7	2 0 0
2.316	24.9	0 0 2
2.283	100.0	2 0 1
1.736	13.7	2 0 2
1.515	14.9	2 2 0
1.331	16.4	2 0 3
1.268	16.0	2 2 2
1.262	10.7	4 0 1

Cell and atoms:
```
data_PmMn3
_chemical_formula_sum 'Pm2 Mn6'
_space_group_name_H-M_alt 'P 63/m m c'
_space_group_IT_number 194
_space_group_name_Hall '-P 6c 2c'
_cell_length_a 6.0585
_cell_length_b 6.0585
_cell_length_c 4.6315
_cell_angle_alpha 90.00
_cell_angle_beta 90.00
_cell_angle_gamma 120.00
loop_
_atom_site_label
_atom_site_fract_x
_atom_site_fract_y
_atom_site_fract_z
Pm1 0.3333 0.6667 0.2500
Mn1 0.1457 0.2914 0.7500
```

# 2
Computed powder diffractogram of Nd3Er13 for Cu Kα (λ = 1.5418 Å), from a DFT-relaxed cell (GGA-PBE, Alexandria).
Intensities are scaled so that the largest is 100.

The 10 most intense peaks (2θ = 10–90°), by angle:
d_spacing	I_rel	index
3.130	23.9	0 0 4
2.811	23.9	0 4 0
2.735	100.0	2 2 2
2.091	15.5	0 4 4
1.806	13.2	2 0 6
1.608	20.3	2 6 2
1.520	22.5	4 4 0
1.509	10.9	4 2 4
1.157	9.3	4 2 8
1.109	8.3	4 8 0

Cell and atoms:
```
data_Nd3Er13
_chemical_formula_sum 'Nd6 Er26'
_space_group_name_H-M_alt 'A m m 2'
_space_group_IT_number 38
_cell_length_a 7.238
_cell_length_b 11.244
_cell_length_c 12.503
_cell_angle_alpha 90.00
_cell_angle_beta 90.00
_cell_angle_gamma 90.00
loop_
_space_group_symop_operation_xyz
'x,y,z'
'-x,-y,z'
'-x,y,z'
'x,-y,z'
'x,y+1/2,z+1/2'
'-x,-y+1/2,z+1/2'
'-x,y+1/2,z+1/2'
'x,-y+1/2,z+1/2'
loop_
_atom_site_label
_atom_site_fract_x
_atom_site_fract_y
_atom_site_fract_z
Nd1 0.000 0.000 0.000
Nd2 0.252 0.000 0.746
Er1 0.000 0.000 0.496
Er2 0.000 0.248 0.165
Er3 0.250 0.000 0.250
Er4 0.251 0.247 0.416
Er5 0.500 0.000 0.000
Er6 0.500 0.000 0.496
Er7 0.500 0.246 0.165
```

# 3
Computed powder diffractogram of InPF5 for Cu Kα (λ = 1.5418 Å), from a DFT-relaxed cell (GGA-PBE, Alexandria).
Intensities are scaled so that the largest is 100.

The 10 most intense peaks (2θ = 10–90°), by angle:
d_spacing	I_rel	index
7.004	100.0	2 0 0
5.052	78.6	2 0 -2
4.545	88.4	0 0 2
3.761	46.1	4 0 -2
3.502	60.8	4 0 0
3.055	73.5	1 1 -1
2.335	20.7	6 0 0
2.322	38.5	3 1 -3
2.299	54.4	1 1 -3
2.119	26.4	5 1 -3

Cell and atoms:
```
data_InPF5
_chemical_formula_sum 'In4 P4 F20'
_space_group_name_H-M_alt 'C 1 m 1'
_space_group_IT_number 8
_cell_length_a 15.885
_cell_length_b 3.205
_cell_length_c 10.307
_cell_angle_alpha 90.00
_cell_angle_beta 118.13
_cell_angle_gamma 90.00
loop_
_space_group_symop_operation_xyz
'x,y,z'
'x,-y,z'
'x+1/2,y+1/2,z'
'x+1/2,-y+1/2,z'
loop_
_atom_site_label
_atom_site_fract_x
_atom_site_fract_y
_atom_site_fract_z
In1 0.000 0.000 0.000
In2 0.002 0.500 0.507
P1 0.237 0.000 0.400
P2 0.239 0.500 0.915
F1 0.143 0.000 0.108
F2 0.144 0.500 0.630
F3 0.300 0.000 0.576
F4 0.307 0.500 0.090
F5 0.329 0.500 0.873
F6 0.331 0.000 0.366
F7 0.472 0.500 0.610
F8 0.478 0.000 0.113
F9 0.483 0.000 0.857
F10 0.493 0.500 0.367
```

# 4
Computed powder diffractogram of K2NpCrN4 for Cu Kα (λ = 1.5418 Å), from a DFT-relaxed cell (GGA-PBE, Alexandria).
Intensities are scaled so that the largest is 100.

The 10 most intense peaks (2θ = 10–90°), by angle:
d_spacing	I_rel	index
7.740	100.0	0 1 0
4.499	40.4	0 1 1
4.250	44.1	1 0 1
3.725	53.4	1 1 1
3.171	92.1	0 2 1
3.053	63.0	2 1 0
2.765	43.0	0 0 2
2.673	47.9	2 1 1
2.049	33.5	2 1 2
1.912	28.7	2 3 1

Cell and atoms:
```
data_K2NpCrN4
_chemical_formula_sum 'K4 Np2 Cr2 N8'
_space_group_name_H-M_alt 'P m n 21'
_space_group_IT_number 31
_cell_length_a 6.644
_cell_length_b 7.740
_cell_length_c 5.530
_cell_angle_alpha 90.00
_cell_angle_beta 90.00
_cell_angle_gamma 90.00
loop_
_space_group_symop_operation_xyz
'x,y,z'
'-x+1/2,-y,z+1/2'
'-x,y,z'
'x+1/2,-y,z+1/2'
loop_
_atom_site_label
_atom_site_fract_x
_atom_site_fract_y
_atom_site_fract_z
K1 0.241 0.137 0.000
Np1 0.000 0.394 0.483
Cr1 0.000 0.658 0.957
N1 0.000 0.449 0.082
N2 0.000 0.636 0.644
N3 0.234 0.768 0.019
```

# 5
Computed powder diffractogram of Hf8Ge3Sb2 for Cu Kα (λ = 1.5418 Å), from a DFT-relaxed cell (GGA-PBE, Alexandria).
Intensities are scaled so that the largest is 100.

The 10 most intense peaks (2θ = 10–90°), by angle:
d_spacing	I_rel	index
2.921	49.0	0 2 1
2.768	68.7	5 1 0
2.734	45.8	2 2 -1
2.716	53.2	2 2 1
2.580	99.8	2 0 2
2.492	38.3	5 1 -1
2.322	59.0	4 2 -1
2.301	100.0	4 2 1
2.097	32.9	1 3 1
1.593	28.4	2 2 -3

Cell and atoms:
```
data_Hf8Ge3Sb2
_chemical_formula_sum 'Hf16 Ge6 Sb4'
_space_group_name_H-M_alt 'C 1 2/m 1'
_space_group_IT_number 12
_cell_length_a 15.121
_cell_length_b 6.883
_cell_length_c 5.527
_cell_angle_alpha 90.00
_cell_angle_beta 91.03
_cell_angle_gamma 90.00
loop_
_space_group_symop_operation_xyz
'x,y,z'
'-x,-y,-z'
'-x,y,-z'
'x,-y,z'
'x+1/2,y+1/2,z'
'-x+1/2,-y+1/2,-z'
'-x+1/2,y+1/2,-z'
'x+1/2,-y+1/2,z'
loop_
_atom_site_label
_atom_site_fract_x
_atom_site_fract_y
_atom_site_fract_z
Hf1 0.094 0.000 0.406
Hf2 0.111 0.216 0.895
Hf3 0.174 0.500 0.358
Ge1 0.000 0.320 0.500
Ge2 0.000 0.500 0.000
Sb1 0.249 0.500 0.841
```

# 6
Computed powder diffractogram of KLiFe for Cu Kα (λ = 1.5418 Å), from a DFT-relaxed cell (GGA-PBE, Alexandria).
Intensities are scaled so that the largest is 100.

The 10 most intense peaks (2θ = 10–90°), by angle:
d_spacing	I_rel	index
6.053	30.3	0 0 2
4.107	100.0	0 1 1
3.026	54.9	0 0 4
2.963	99.6	0 1 3
2.756	34.4	1 0 1
2.375	69.6	1 1 0
2.317	47.8	1 0 3
2.183	26.7	0 2 0
1.868	48.8	1 1 4
1.589	26.3	1 2 3

Cell and atoms:
```
data_KLiFe
_chemical_formula_sum 'K2 Li2 Fe2'
_space_group_name_H-M_alt 'I m m 2'
_space_group_IT_number 44
_cell_length_a 2.830
_cell_length_b 4.366
_cell_length_c 12.105
_cell_angle_alpha 90.00
_cell_angle_beta 90.00
_cell_angle_gamma 90.00
loop_
_space_group_symop_operation_xyz
'x,y,z'
'-x,-y,z'
'-x,y,z'
'x,-y,z'
'x+1/2,y+1/2,z+1/2'
'-x+1/2,-y+1/2,z+1/2'
'-x+1/2,y+1/2,z+1/2'
'x+1/2,-y+1/2,z+1/2'
loop_
_atom_site_label
_atom_site_fract_x
_atom_site_fract_y
_atom_site_fract_z
K1 0.000 0.000 0.000
Li1 0.000 0.000 0.723
Fe1 0.000 0.000 0.286
```

# 7
Computed powder diffractogram of K3Na3Sn2 for Cu Kα (λ = 1.5418 Å), from a DFT-relaxed cell (GGA-PBE, Alexandria).
Intensities are scaled so that the largest is 100.

The 10 most intense peaks (2θ = 10–90°), by angle:
d_spacing	I_rel	index
6.694	68.1	0 1 0
5.491	63.0	0 0 2
3.209	100.0	1 1 -1
3.136	63.4	1 1 3
2.778	52.0	1 2 1
2.751	49.9	1 2 2
2.634	69.0	1 1 4
2.575	39.5	-1 2 2
2.347	34.1	2 0 1
2.216	52.5	1 1 5

Cell and atoms:
```
data_K3Na3Sn2
_chemical_formula_sum 'K3 Na3 Sn2'
_space_group_name_H-M_alt 'P -1'
_space_group_IT_number 2
_cell_length_a 4.694
_cell_length_b 6.936
_cell_length_c 11.616
_cell_angle_alpha 75.14
_cell_angle_beta 78.41
_cell_angle_gamma 89.98
loop_
_space_group_symop_operation_xyz
'x,y,z'
'-x,-y,-z'
loop_
_atom_site_label
_atom_site_fract_x
_atom_site_fract_y
_atom_site_fract_z
K1 0.000 0.000 0.000
K2 0.170 0.542 0.661
Na1 0.365 0.011 0.269
Na2 0.500 0.500 0.000
Sn1 0.234 0.111 0.532
```

# 8
Computed powder diffractogram of CsAg2SbTe4 for Cu Kα (λ = 1.5418 Å), from a DFT-relaxed cell (GGA-PBE, Alexandria).
Intensities are scaled so that the largest is 100.

The 10 most intense peaks (2θ = 10–90°), by angle:
d_spacing	I_rel	index
6.695	39.7	0 1 1
3.736	100.0	1 1 2
3.608	47.9	1 2 1
3.091	24.1	0 1 3
2.864	56.6	2 2 0
2.441	20.9	1 3 2
2.264	27.0	1 1 4
2.136	21.7	3 1 2
1.908	29.6	2 3 3
1.708	16.5	3 1 4

Cell and atoms:
```
data_CsAg2SbTe4
_chemical_formula_sum 'Cs2 Ag4 Sb2 Te8'
_space_group_name_H-M_alt 'I 2 2 2'
_space_group_IT_number 23
_cell_length_a 7.362
_cell_length_b 9.123
_cell_length_c 9.856
_cell_angle_alpha 90.00
_cell_angle_beta 90.00
_cell_angle_gamma 90.00
loop_
_space_group_symop_operation_xyz
'x,y,z'
'-x,-y,z'
'x,-y,-z'
'-x,y,-z'
'x+1/2,y+1/2,z+1/2'
'-x+1/2,-y+1/2,z+1/2'
'x+1/2,-y+1/2,-z+1/2'
'-x+1/2,y+1/2,-z+1/2'
loop_
_atom_site_label
_atom_site_fract_x
_atom_site_fract_y
_atom_site_fract_z
Cs1 0.000 0.000 0.000
Ag1 0.000 0.500 0.158
Sb1 0.000 0.000 0.500
Te1 0.212 0.179 0.337
```